[1]
Structure and computed powder diffraction line list of ErTmTe6 (a DFT-relaxed cell (GGA-PBE, Alexandria); Cu Kα).
Intensities are scaled so that the largest is 100.

Peak list (10 most intense, 10 to 90 degrees two-theta, most intense first)
30.93°, intensity 100; 41.75°, intensity 51; 33.83°, intensity 42; 26.92°, intensity 36; 37.81°, intensity 36; 50.39°, intensity 26; 60.53°, intensity 24; 69.52°, intensity 21; 29.39°, intensity 20; 67.44°, intensity 18

Structural model:
```
data_ErTmTe6
_cell_length_a 4.328
_cell_length_b 13.421
_cell_length_c 13.421
_cell_angle_alpha 18.55
_cell_angle_beta 90.00
_cell_angle_gamma 90.00
_symmetry_space_group_name_H-M 'P 1'
_symmetry_Int_Tables_number 1
_symmetry_space_group_name_Hall 'P 1'
loop_
_atom_site_label
_atom_site_fract_x
_atom_site_fract_y
_atom_site_fract_z
Er1 0.000 0.000 0.000
Tm1 0.500 0.346 0.346
Te1 0.000 0.252 0.252
Te2 0.000 0.594 0.594
Te3 0.000 0.880 0.880
Te4 0.500 0.094 0.094
Te5 0.500 0.465 0.465
Te6 0.500 0.752 0.752
```

=====

[2]
Structure and computed powder diffraction line list of Y3ErTe6 (a DFT-relaxed cell (GGA-PBE, Alexandria); Cu Kα).
Intensities are scaled so that the largest is 100.

Peak list (10 most intense, 10 to 90 degrees two-theta, most intense first)
31.49°, intensity 100; 37.20°, intensity 80; 31.33°, intensity 80; 24.17°, intensity 75; 19.71°, intensity 38; 45.17°, intensity 34; 37.61°, intensity 31; 17.19°, intensity 23; 21.99°, intensity 23; 51.55°, intensity 20

Structural model:
```
data_Y3ErTe6
_cell_length_a 9.007
_cell_length_b 9.007
_cell_length_c 9.007
_cell_angle_alpha 90.48
_cell_angle_beta 90.48
_cell_angle_gamma 90.48
_symmetry_space_group_name_H-M 'P 1'
_symmetry_Int_Tables_number 1
_symmetry_space_group_name_Hall 'P 1'
loop_
_atom_site_label
_atom_site_fract_x
_atom_site_fract_y
_atom_site_fract_z
Y1 0.075 0.582 0.743
Y2 0.257 0.925 0.418
Y3 0.418 0.257 0.925
Y4 0.582 0.743 0.075
Y5 0.743 0.075 0.582
Y6 0.925 0.418 0.257
Er1 0.000 0.000 0.000
Er2 0.500 0.500 0.500
Te1 0.039 0.911 0.680
Te2 0.089 0.320 0.961
Te3 0.186 0.586 0.409
Te4 0.320 0.961 0.089
Te5 0.409 0.186 0.586
Te6 0.414 0.591 0.814
Te7 0.586 0.409 0.186
Te8 0.591 0.814 0.414
Te9 0.680 0.039 0.911
Te10 0.814 0.414 0.591
Te11 0.911 0.680 0.039
Te12 0.961 0.089 0.320
```

=====

[3]
Structure and computed powder diffraction line list of Y2Er2Te7 (a DFT-relaxed cell (GGA-PBE, Alexandria); Cu Kα).
Intensities are scaled so that the largest is 100.

Peak list (10 most intense, 10 to 90 degrees two-theta, most intense first)
32.33°, intensity 100; 36.53°, intensity 60; 28.47°, intensity 40; 32.73°, intensity 35; 43.00°, intensity 32; 38.66°, intensity 28; 56.60°, intensity 26; 32.10°, intensity 23; 29.58°, intensity 22; 27.09°, intensity 19

Structural model:
```
data_Y2Er2Te7
_cell_length_a 9.568
_cell_length_b 9.568
_cell_length_c 9.568
_cell_angle_alpha 154.61
_cell_angle_beta 68.03
_cell_angle_gamma 118.08
_symmetry_space_group_name_H-M 'P 1'
_symmetry_Int_Tables_number 1
_symmetry_space_group_name_Hall 'P 1'
loop_
_atom_site_label
_atom_site_fract_x
_atom_site_fract_y
_atom_site_fract_z
Y1 0.000 0.000 0.000
Y2 0.553 0.053 0.500
Er1 0.468 0.225 0.243
Er2 0.982 0.225 0.757
Te1 0.186 0.542 0.644
Te2 0.247 0.925 0.322
Te3 0.318 0.318 0.000
Te4 0.602 0.925 0.678
Te5 0.614 0.725 0.890
Te6 0.835 0.725 0.110
Te7 0.898 0.542 0.356
```

=====

[4]
Structure and computed powder diffraction line list of Y2ErTe3 (a DFT-relaxed cell (GGA-PBE, Alexandria); Cu Kα).
Intensities are scaled so that the largest is 100.

Peak list (10 most intense, 10 to 90 degrees two-theta, most intense first)
28.97°, intensity 100; 41.57°, intensity 93; 29.14°, intensity 49; 68.35°, intensity 25; 51.28°, intensity 21; 51.63°, intensity 20; 41.22°, intensity 19; 68.11°, intensity 17; 75.37°, intensity 13; 60.04°, intensity 12

Structural model:
```
data_Y2ErTe3
_cell_length_a 7.518
_cell_length_b 7.518
_cell_length_c 7.518
_cell_angle_alpha 146.13
_cell_angle_beta 131.88
_cell_angle_gamma 60.14
_symmetry_space_group_name_H-M 'P 1'
_symmetry_Int_Tables_number 1
_symmetry_space_group_name_Hall 'P 1'
loop_
_atom_site_label
_atom_site_fract_x
_atom_site_fract_y
_atom_site_fract_z
Y1 0.171 0.171 0.000
Y2 0.829 0.829 0.000
Er1 0.500 0.500 0.000
Te1 0.000 0.500 0.500
Te2 0.337 0.837 0.500
Te3 0.663 0.163 0.500
```

=====

[5]
Structure and computed powder diffraction line list of Y4ErTe5 (a DFT-relaxed cell (GGA-PBE, Alexandria); Cu Kα).
Intensities are scaled so that the largest is 100.

Peak list (10 most intense, 10 to 90 degrees two-theta, most intense first)
29.45°, intensity 100; 41.01°, intensity 64; 27.88°, intensity 45; 42.14°, intensity 37; 51.29°, intensity 33; 76.25°, intensity 20; 69.28°, intensity 17; 37.36°, intensity 16; 68.48°, intensity 14; 61.12°, intensity 12

Structural model:
```
data_Y4ErTe5
_cell_length_a 16.283
_cell_length_b 16.283
_cell_length_c 16.283
_cell_angle_alpha 164.87
_cell_angle_beta 164.87
_cell_angle_gamma 21.47
_symmetry_space_group_name_H-M 'P 1'
_symmetry_Int_Tables_number 1
_symmetry_space_group_name_Hall 'P 1'
loop_
_atom_site_label
_atom_site_fract_x
_atom_site_fract_y
_atom_site_fract_z
Y1 0.110 0.110 0.000
Y2 0.312 0.312 0.000
Y3 0.688 0.688 0.000
Y4 0.890 0.890 0.000
Er1 0.500 0.500 0.000
Te1 0.000 0.000 0.000
Te2 0.208 0.208 0.000
Te3 0.407 0.407 0.000
Te4 0.593 0.593 0.000
Te5 0.792 0.792 0.000
```

=====

[6]
Structure and computed powder diffraction line list of Y4Er2Te9 (a DFT-relaxed cell (GGA-PBE, Alexandria); Cu Kα).
Intensities are scaled so that the largest is 100.

Peak list (10 most intense, 10 to 90 degrees two-theta, most intense first)
26.47°, intensity 100; 34.66°, intensity 78; 40.72°, intensity 54; 15.77°, intensity 25; 45.44°, intensity 23; 54.51°, intensity 20; 68.22°, intensity 19; 70.22°, intensity 18; 49.23°, intensity 16; 21.55°, intensity 15

Structural model:
```
data_Y4Er2Te9
_cell_length_a 7.676
_cell_length_b 7.676
_cell_length_c 21.033
_cell_angle_alpha 90.00
_cell_angle_beta 90.00
_cell_angle_gamma 120.00
_symmetry_space_group_name_H-M 'P 1'
_symmetry_Int_Tables_number 1
_symmetry_space_group_name_Hall 'P 1'
loop_
_atom_site_label
_atom_site_fract_x
_atom_site_fract_y
_atom_site_fract_z
Y1 0.333 0.667 0.176
Y2 0.333 0.667 0.491
Y3 0.333 0.667 0.676
Y4 0.333 0.667 0.991
Y5 0.667 0.333 0.009
Y6 0.667 0.333 0.324
Y7 0.667 0.333 0.509
Y8 0.667 0.333 0.824
Er1 0.000 0.000 0.158
Er2 0.000 0.000 0.342
Er3 0.000 0.000 0.658
Er4 0.000 0.000 0.842
Te1 0.000 0.312 0.250
Te2 0.000 0.688 0.750
Te3 0.019 0.350 0.584
Te4 0.019 0.669 0.084
Te5 0.312 0.000 0.250
Te6 0.312 0.312 0.750
Te7 0.331 0.350 0.084
Te8 0.331 0.981 0.584
Te9 0.350 0.019 0.916
Te10 0.350 0.331 0.416
Te11 0.650 0.669 0.584
Te12 0.650 0.981 0.084
Te13 0.669 0.019 0.416
Te14 0.669 0.650 0.916
Te15 0.688 0.000 0.750
Te16 0.688 0.688 0.250
Te17 0.981 0.331 0.916
Te18 0.981 0.650 0.416
```

=====

[7]
Structure and computed powder diffraction line list of Y6ErTe8 (a DFT-relaxed cell (GGA-PBE, Alexandria); Cu Kα).
Intensities are scaled so that the largest is 100.

Peak list (10 most intense, 10 to 90 degrees two-theta, most intense first)
29.05°, intensity 100; 41.55°, intensity 75; 68.23°, intensity 33; 51.50°, intensity 26; 75.82°, intensity 25; 60.22°, intensity 12; 12.47°, intensity 7; 24.01°, intensity 6; 25.09°, intensity 5; 31.73°, intensity 4

Structural model:
```
data_Y6ErTe8
_cell_length_a 8.693
_cell_length_b 8.693
_cell_length_c 8.693
_cell_angle_alpha 60.00
_cell_angle_beta 60.00
_cell_angle_gamma 60.00
_symmetry_space_group_name_H-M 'P 1'
_symmetry_Int_Tables_number 1
_symmetry_space_group_name_Hall 'P 1'
loop_
_atom_site_label
_atom_site_fract_x
_atom_site_fract_y
_atom_site_fract_z
Y1 0.000 0.000 0.500
Y2 0.000 0.500 0.000
Y3 0.000 0.500 0.500
Y4 0.500 0.000 0.000
Y5 0.500 0.000 0.500
Y6 0.500 0.500 0.000
Er1 0.000 0.000 0.000
Te1 0.250 0.250 0.250
Te2 0.254 0.254 0.746
Te3 0.254 0.746 0.254
Te4 0.254 0.746 0.746
Te5 0.746 0.254 0.254
Te6 0.746 0.254 0.746
Te7 0.746 0.746 0.254
Te8 0.750 0.750 0.750
```

=====

[8]
Structure and computed powder diffraction line list of Y2ErTe (a DFT-relaxed cell (GGA-PBE, Alexandria); Cu Kα).
Intensities are scaled so that the largest is 100.

Peak list (10 most intense, 10 to 90 degrees two-theta, most intense first)
30.02°, intensity 100; 32.94°, intensity 91; 34.74°, intensity 39; 36.87°, intensity 30; 30.77°, intensity 29; 57.37°, intensity 29; 31.19°, intensity 28; 58.83°, intensity 23; 45.94°, intensity 23; 31.60°, intensity 23

Structural model:
```
data_Y2ErTe
_cell_length_a 6.402
_cell_length_b 6.402
_cell_length_c 9.752
_cell_angle_alpha 90.00
_cell_angle_beta 90.00
_cell_angle_gamma 144.05
_symmetry_space_group_name_H-M 'P 1'
_symmetry_Int_Tables_number 1
_symmetry_space_group_name_Hall 'P 1'
loop_
_atom_site_label
_atom_site_fract_x
_atom_site_fract_y
_atom_site_fract_z
Y1 0.135 0.865 0.539
Y2 0.135 0.865 0.961
Y3 0.865 0.135 0.039
Y4 0.865 0.135 0.461
Er1 0.442 0.558 0.750
Er2 0.558 0.442 0.250
Te1 0.263 0.737 0.250
Te2 0.737 0.263 0.750
```

=====

[9]
Structure and computed powder diffraction line list of Y2ErTe3 (a DFT-relaxed cell (GGA-PBE, Alexandria); Cu Kα).
Intensities are scaled so that the largest is 100.

Peak list (10 most intense, 10 to 90 degrees two-theta, most intense first)
33.91°, intensity 100; 27.14°, intensity 66; 43.14°, intensity 65; 65.81°, intensity 31; 55.98°, intensity 23; 79.08°, intensity 22; 73.20°, intensity 21; 47.15°, intensity 12; 51.72°, intensity 11; 24.51°, intensity 11

Structural model:
```
data_Y2ErTe3
_cell_length_a 8.777
_cell_length_b 8.777
_cell_length_c 8.777
_cell_angle_alpha 48.88
_cell_angle_beta 48.88
_cell_angle_gamma 48.88
_symmetry_space_group_name_H-M 'P 1'
_symmetry_Int_Tables_number 1
_symmetry_space_group_name_Hall 'P 1'
loop_
_atom_site_label
_atom_site_fract_x
_atom_site_fract_y
_atom_site_fract_z
Y1 0.167 0.167 0.167
Y2 0.333 0.333 0.333
Y3 0.667 0.667 0.667
Y4 0.833 0.833 0.833
Er1 0.000 0.000 0.000
Er2 0.500 0.500 0.500
Te1 0.086 0.750 0.414
Te2 0.250 0.586 0.914
Te3 0.414 0.086 0.750
Te4 0.586 0.914 0.250
Te5 0.750 0.414 0.086
Te6 0.914 0.250 0.586
```

=====

[10]
Structure and computed powder diffraction line list of YErTe6 (a DFT-relaxed cell (GGA-PBE, Alexandria); Cu Kα).
Intensities are scaled so that the largest is 100.

Peak list (10 most intense, 10 to 90 degrees two-theta, most intense first)
30.83°, intensity 100; 41.64°, intensity 44; 26.64°, intensity 31; 33.68°, intensity 30; 37.59°, intensity 28; 50.12°, intensity 22; 69.30°, intensity 19; 60.35°, intensity 15; 13.23°, intensity 13; 29.31°, intensity 12

Structural model:
```
data_YErTe6
_cell_length_a 4.339
_cell_length_b 13.559
_cell_length_c 13.559
_cell_angle_alpha 18.41
_cell_angle_beta 90.00
_cell_angle_gamma 90.00
_symmetry_space_group_name_H-M 'P 1'
_symmetry_Int_Tables_number 1
_symmetry_space_group_name_Hall 'P 1'
loop_
_atom_site_label
_atom_site_fract_x
_atom_site_fract_y
_atom_site_fract_z
Y1 0.000 0.000 0.000
Er1 0.500 0.654 0.654
Te1 0.000 0.120 0.120
Te2 0.000 0.406 0.406
Te3 0.000 0.747 0.747
Te4 0.500 0.247 0.247
Te5 0.500 0.535 0.535
Te6 0.500 0.906 0.906
```

=====

[11]
Structure and computed powder diffraction line list of YEr2Te3 (a DFT-relaxed cell (GGA-PBE, Alexandria); Cu Kα).
Intensities are scaled so that the largest is 100.

Peak list (10 most intense, 10 to 90 degrees two-theta, most intense first)
34.03°, intensity 100; 43.32°, intensity 58; 27.25°, intensity 51; 66.04°, intensity 29; 56.22°, intensity 24; 73.55°, intensity 21; 24.62°, intensity 17; 79.50°, intensity 12; 47.26°, intensity 11; 79.28°, intensity 9

Structural model:
```
data_YEr2Te3
_cell_length_a 8.753
_cell_length_b 8.753
_cell_length_c 8.753
_cell_angle_alpha 48.80
_cell_angle_beta 48.80
_cell_angle_gamma 48.80
_symmetry_space_group_name_H-M 'P 1'
_symmetry_Int_Tables_number 1
_symmetry_space_group_name_Hall 'P 1'
loop_
_atom_site_label
_atom_site_fract_x
_atom_site_fract_y
_atom_site_fract_z
Y1 0.000 0.000 0.000
Y2 0.500 0.500 0.500
Er1 0.166 0.166 0.166
Er2 0.334 0.334 0.334
Er3 0.666 0.666 0.666
Er4 0.834 0.834 0.834
Te1 0.081 0.750 0.419
Te2 0.250 0.581 0.919
Te3 0.419 0.081 0.750
Te4 0.581 0.919 0.250
Te5 0.750 0.419 0.081
Te6 0.919 0.250 0.581
```

=====

[12]
Structure and computed powder diffraction line list of Er8Zn2Te (a DFT-relaxed cell (GGA-PBE, Alexandria); Cu Kα).
Intensities are scaled so that the largest is 100.

Peak list (10 most intense, 10 to 90 degrees two-theta, most intense first)
31.50°, intensity 100; 34.62°, intensity 95; 32.98°, intensity 86; 31.24°, intensity 83; 32.79°, intensity 70; 37.70°, intensity 49; 64.39°, intensity 30; 30.11°, intensity 28; 26.24°, intensity 25; 55.28°, intensity 25

Structural model:
```
data_Er8Zn2Te
_cell_length_a 7.949
_cell_length_b 7.949
_cell_length_c 5.583
_cell_angle_alpha 99.02
_cell_angle_beta 99.02
_cell_angle_gamma 115.08
_symmetry_space_group_name_H-M 'P 1'
_symmetry_Int_Tables_number 1
_symmetry_space_group_name_Hall 'P 1'
loop_
_atom_site_label
_atom_site_fract_x
_atom_site_fract_y
_atom_site_fract_z
Er1 0.084 0.328 0.611
Er2 0.239 0.761 0.000
Er3 0.328 0.084 0.611
Er4 0.399 0.399 0.203
Er5 0.601 0.601 0.797
Er6 0.672 0.916 0.389
Er7 0.761 0.239 0.000
Er8 0.916 0.672 0.389
Zn1 0.306 0.694 0.500
Zn2 0.694 0.306 0.500
Te1 0.000 0.000 0.000
```

=====

[13]
Structure and computed powder diffraction line list of Er2Zr3Te8 (a DFT-relaxed cell (GGA-PBE, Alexandria); Cu Kα).
Intensities are scaled so that the largest is 100.

Peak list (10 most intense, 10 to 90 degrees two-theta, most intense first)
32.86°, intensity 100; 32.02°, intensity 60; 44.33°, intensity 57; 38.14°, intensity 39; 26.58°, intensity 32; 44.22°, intensity 29; 19.22°, intensity 28; 55.63°, intensity 26; 22.19°, intensity 23; 39.24°, intensity 23

Structural model:
```
data_Er2Zr3Te8
_cell_length_a 8.597
_cell_length_b 8.597
_cell_length_c 7.078
_cell_angle_alpha 104.14
_cell_angle_beta 104.14
_cell_angle_gamma 56.92
_symmetry_space_group_name_H-M 'P 1'
_symmetry_Int_Tables_number 1
_symmetry_space_group_name_Hall 'P 1'
loop_
_atom_site_label
_atom_site_fract_x
_atom_site_fract_y
_atom_site_fract_z
Er1 0.243 0.243 0.321
Er2 0.757 0.757 0.679
Zr1 0.000 0.000 0.500
Zr2 0.245 0.755 0.000
Zr3 0.755 0.245 0.000
Te1 0.124 0.124 0.900
Te2 0.139 0.626 0.590
Te3 0.374 0.861 0.410
Te4 0.391 0.391 0.106
Te5 0.609 0.609 0.894
Te6 0.626 0.139 0.590
Te7 0.861 0.374 0.410
Te8 0.876 0.876 0.100
```